For PmPuC, a crystal structure in Alexandria, relaxed with GGA-PBE gives the theoretical PXRD pattern in this record (Cu Ka).
Intensities are scaled so that the largest is 1000.

The 12 most intense peaks (10 to 90 degrees two-theta), by angle:
| d (Å) | 2theta | I_rel |
| --- | --- | --- |
| 5.816 | 15.23 | 95 |
| 3.164 | 28.20 | 381 |
| 2.906 | 30.76 | 1000 |
| 2.573 | 34.87 | 260 |
| 2.565 | 34.99 | 519 |
| 1.874 | 48.59 | 273 |
| 1.764 | 51.83 | 177 |
| 1.760 | 51.96 | 97 |
| 1.542 | 59.99 | 95 |
| 1.539 | 60.14 | 193 |
| 1.506 | 61.59 | 97 |
| 1.453 | 64.08 | 135 |

```
data_PmPuC
_chemical_formula_sum 'Pm2 Pu2 C2'
_cell_length_a 6.115
_cell_length_b 3.520
_cell_length_c 6.653
_cell_angle_alpha 90.00
_cell_angle_beta 107.99
_cell_angle_gamma 90.00
_symmetry_space_group_name_H-M 'P 1 21/m 1'
_symmetry_Int_Tables_number 11
loop_
_symmetry_equiv_pos_as_xyz
'x,y,z'
'-x,-y,-z'
'-x,y+1/2,-z'
'x,-y+1/2,z'
loop_
_atom_site_label
_atom_site_type_symbol
_atom_site_fract_x
_atom_site_fract_y
_atom_site_fract_z
Pm1 Pm 0.009 0.250 0.275
Pu1 Pu 0.494 0.250 0.727
C1 C 0.280 0.750 0.509
```


For La2Y3Se8, a crystal structure in Alexandria, relaxed with GGA-PBE gives the theoretical PXRD pattern in this record (Cu Ka).
Intensities are scaled so that the largest is 1000.

The 12 most intense peaks (10 to 90 degrees two-theta), by angle:
| d (Å) | 2theta | I_rel |
| --- | --- | --- |
| 5.876 | 15.08 | 213 |
| 4.517 | 19.66 | 505 |
| 4.010 | 22.17 | 334 |
| 3.589 | 24.80 | 297 |
| 3.419 | 26.06 | 377 |
| 3.342 | 26.67 | 237 |
| 2.730 | 32.81 | 1000 |
| 2.677 | 33.47 | 454 |
| 2.282 | 39.50 | 934 |
| 2.102 | 43.03 | 355 |
| 2.060 | 43.96 | 720 |
| 1.654 | 55.57 | 232 |

```
data_La2Y3Se8
_chemical_formula_sum 'La4 Y6 Se16'
_cell_length_a 14.621
_cell_length_b 8.409
_cell_length_c 7.089
_cell_angle_alpha 90.00
_cell_angle_beta 109.47
_cell_angle_gamma 90.00
_symmetry_space_group_name_H-M 'C 1 2/m 1'
_symmetry_Int_Tables_number 12
loop_
_symmetry_equiv_pos_as_xyz
'x,y,z'
'-x,-y,-z'
'-x,y,-z'
'x,-y,z'
'x+1/2,y+1/2,z'
'-x+1/2,-y+1/2,-z'
'-x+1/2,y+1/2,-z'
'x+1/2,-y+1/2,z'
loop_
_atom_site_label
_atom_site_type_symbol
_atom_site_fract_x
_atom_site_fract_y
_atom_site_fract_z
La1 La 0.238 0.000 0.160
Y1 Y 0.000 0.239 0.500
Y2 Y 0.000 0.500 0.000
Se1 Se 0.114 0.500 0.420
Se2 Se 0.119 0.266 0.910
Se3 Se 0.122 0.000 0.434
```


For Zn6Ni5Rh, a crystal structure in Alexandria, relaxed with GGA-PBE gives the theoretical PXRD pattern in this record (Cu Ka).
Intensities are scaled so that the largest is 1000.

The 10 most intense peaks (10 to 90 degrees two-theta), by angle:
| d (Å) | 2theta | I_rel |
| --- | --- | --- |
| 4.319 | 20.56 | 6 |
| 3.790 | 23.47 | 5 |
| 3.237 | 27.55 | 10 |
| 2.574 | 34.86 | 7 |
| 2.092 | 43.24 | 1000 |
| 1.999 | 45.38 | 433 |
| 1.556 | 59.40 | 92 |
| 1.413 | 66.12 | 131 |
| 1.228 | 77.79 | 158 |
| 1.171 | 82.34 | 271 |

```
data_Zn6Ni5Rh
_chemical_formula_sum 'Zn12 Ni10 Rh2'
_cell_length_a 3.995
_cell_length_b 11.999
_cell_length_c 6.224
_cell_angle_alpha 90.00
_cell_angle_beta 90.00
_cell_angle_gamma 90.00
_symmetry_space_group_name_H-M 'C m m m'
_symmetry_Int_Tables_number 65
_symmetry_space_group_name_Hall '-C 2 2'
loop_
_atom_site_label
_atom_site_type_symbol
_atom_site_fract_x
_atom_site_fract_y
_atom_site_fract_z
Zn1 Zn 0.000 0.000 0.242
Zn2 Zn 0.000 0.331 0.247
Ni1 Ni 0.000 0.167 0.000
Ni2 Ni 0.000 0.168 0.500
Ni3 Ni 0.000 0.500 0.000
Rh1 Rh 0.000 0.500 0.500
```


For Ce3AlP2Rh9, a crystal structure in Alexandria, relaxed with GGA-PBE gives the theoretical PXRD pattern in this record (Cu Ka).
Intensities are scaled so that the largest is 1000.

The 12 most intense peaks (10 to 90 degrees two-theta), by angle:
| d (Å) | 2theta | I_rel |
| --- | --- | --- |
| 3.493 | 25.50 | 111 |
| 3.304 | 26.99 | 653 |
| 2.744 | 32.64 | 110 |
| 2.390 | 37.64 | 1000 |
| 2.205 | 40.92 | 955 |
| 1.747 | 52.38 | 342 |
| 1.544 | 59.90 | 148 |
| 1.422 | 65.67 | 250 |
| 1.306 | 72.36 | 228 |
| 1.222 | 78.23 | 114 |
| 1.195 | 80.35 | 128 |
| 1.103 | 88.72 | 76 |

```
data_Ce3AlP2Rh9
_chemical_formula_sum 'Ce3 Al1 P2 Rh9'
_cell_length_a 5.6872
_cell_length_b 5.6872
_cell_length_c 9.9109
_cell_angle_alpha 90.00
_cell_angle_beta 90.00
_cell_angle_gamma 120.00
_symmetry_space_group_name_H-M 'P -3 m 1'
_symmetry_Int_Tables_number 164
_symmetry_space_group_name_Hall '-P 3 2"'
loop_
_atom_site_label
_atom_site_type_symbol
_atom_site_fract_x
_atom_site_fract_y
_atom_site_fract_z
Ce1 Ce 0.0000 0.0000 0.0000
Ce2 Ce 0.3333 0.6667 0.6262
Al1 Al 0.0000 0.0000 0.5000
P1 P 0.3333 0.6667 0.1599
Rh1 Rh 0.0000 0.5000 0.0000
Rh2 Rh 0.1618 0.3237 0.3080
```


For Ca2Mg5Zn4, a crystal structure in Alexandria, relaxed with GGA-PBE gives the theoretical PXRD pattern in this record (Cu Ka).
Intensities are scaled so that the largest is 1000.

The 12 most intense peaks (10 to 90 degrees two-theta), by angle:
| d (Å) | 2theta | I_rel |
| --- | --- | --- |
| 4.901 | 18.10 | 249 |
| 4.760 | 18.64 | 624 |
| 2.962 | 30.17 | 315 |
| 2.610 | 34.36 | 587 |
| 2.515 | 35.70 | 881 |
| 2.380 | 37.80 | 410 |
| 2.289 | 39.37 | 1000 |
| 2.141 | 42.20 | 136 |
| 1.758 | 52.00 | 278 |
| 1.634 | 56.32 | 132 |
| 1.545 | 59.86 | 270 |
| 1.258 | 75.58 | 223 |

```
data_Ca2Mg5Zn4
_chemical_formula_sum 'Ca4 Mg10 Zn8'
_cell_length_a 12.908
_cell_length_b 5.924
_cell_length_c 8.722
_cell_angle_alpha 90.00
_cell_angle_beta 132.48
_cell_angle_gamma 90.00
_symmetry_space_group_name_H-M 'C 1 2/m 1'
_symmetry_Int_Tables_number 12
loop_
_symmetry_equiv_pos_as_xyz
'x,y,z'
'-x,-y,-z'
'-x,y,-z'
'x,-y,z'
'x+1/2,y+1/2,z'
'-x+1/2,-y+1/2,-z'
'-x+1/2,y+1/2,-z'
'x+1/2,-y+1/2,z'
loop_
_atom_site_label
_atom_site_type_symbol
_atom_site_fract_x
_atom_site_fract_y
_atom_site_fract_z
Ca1 Ca 0.209 0.000 0.209
Mg1 Mg 0.000 0.250 0.311
Mg2 Mg 0.000 0.500 0.000
Zn1 Zn 0.247 0.500 0.091
Zn2 Zn 0.247 0.500 0.402
```


For PrSmSiS, a crystal structure in Alexandria, relaxed with GGA-PBE gives the theoretical PXRD pattern in this record (Cu Ka).
Intensities are scaled so that the largest is 1000.

The 12 most intense peaks (10 to 90 degrees two-theta), by angle:
| d (Å) | 2theta | I_rel |
| --- | --- | --- |
| 3.439 | 25.91 | 203 |
| 3.401 | 26.20 | 593 |
| 2.953 | 30.26 | 1000 |
| 2.097 | 43.14 | 372 |
| 2.080 | 43.51 | 364 |
| 1.790 | 51.01 | 101 |
| 1.780 | 51.34 | 198 |
| 1.700 | 53.92 | 192 |
| 1.477 | 62.94 | 120 |
| 1.325 | 71.15 | 166 |
| 1.316 | 71.69 | 163 |
| 1.204 | 79.62 | 123 |

```
data_PrSmSiS
_chemical_formula_sum 'Pr3 Sm3 Si3 S3'
_cell_length_a 4.1596
_cell_length_b 4.1596
_cell_length_c 20.6322
_cell_angle_alpha 90.00
_cell_angle_beta 90.00
_cell_angle_gamma 120.00
_symmetry_space_group_name_H-M 'R 3 m'
_symmetry_Int_Tables_number 160
_symmetry_space_group_name_Hall 'R 3 -2"'
loop_
_atom_site_label
_atom_site_type_symbol
_atom_site_fract_x
_atom_site_fract_y
_atom_site_fract_z
Pr1 Pr 0.0000 0.0000 0.0000
Sm1 Sm 0.0000 0.0000 0.5002
Si1 Si 0.0000 0.0000 0.7517
S1 S 0.0000 0.0000 0.2479
```


For LaPmSm14, a crystal structure in Alexandria, relaxed with GGA-PBE gives the theoretical PXRD pattern in this record (Cu Ka).
Intensities are scaled so that the largest is 1000.

The 12 most intense peaks (10 to 90 degrees two-theta), by angle:
| d (Å) | 2theta | I_rel |
| --- | --- | --- |
| 3.165 | 28.19 | 81 |
| 3.057 | 29.22 | 419 |
| 2.945 | 30.35 | 342 |
| 2.788 | 32.10 | 1000 |
| 2.464 | 36.46 | 233 |
| 1.890 | 48.14 | 106 |
| 1.827 | 49.90 | 258 |
| 1.669 | 55.04 | 217 |
| 1.553 | 59.53 | 303 |
| 1.528 | 60.58 | 163 |
| 1.173 | 82.20 | 92 |
| 1.147 | 84.49 | 114 |

```
data_LaPmSm14
_chemical_formula_sum 'La2 Pm2 Sm28'
_cell_length_a 11.781
_cell_length_b 7.314
_cell_length_c 12.652
_cell_angle_alpha 90.00
_cell_angle_beta 90.00
_cell_angle_gamma 90.00
_symmetry_space_group_name_H-M 'A m m 2'
_symmetry_Int_Tables_number 38
loop_
_symmetry_equiv_pos_as_xyz
'x,y,z'
'-x,-y,z'
'-x,y,z'
'x,-y,z'
'x,y+1/2,z+1/2'
'-x,-y+1/2,z+1/2'
'-x,y+1/2,z+1/2'
'x,-y+1/2,z+1/2'
loop_
_atom_site_label
_atom_site_type_symbol
_atom_site_fract_x
_atom_site_fract_y
_atom_site_fract_z
La1 La 0.000 0.000 0.000
Pm1 Pm 0.000 0.000 0.500
Sm1 Sm 0.000 0.249 0.250
Sm2 Sm 0.250 0.000 0.667
Sm3 Sm 0.252 0.000 0.167
Sm4 Sm 0.252 0.250 0.417
Sm5 Sm 0.500 0.000 0.334
Sm6 Sm 0.500 0.000 0.833
Sm7 Sm 0.500 0.249 0.584
```


For HgOs2C2, a crystal structure in Alexandria, relaxed with GGA-PBE gives the theoretical PXRD pattern in this record (Cu Ka).
Intensities are scaled so that the largest is 1000.

The 12 most intense peaks (10 to 90 degrees two-theta), by angle:
| d (Å) | 2theta | I_rel |
| --- | --- | --- |
| 8.098 | 10.93 | 489 |
| 4.049 | 21.95 | 881 |
| 3.751 | 23.72 | 319 |
| 3.138 | 28.45 | 254 |
| 2.584 | 34.72 | 1000 |
| 1.928 | 47.14 | 244 |
| 1.918 | 47.40 | 450 |
| 1.741 | 52.58 | 345 |
| 1.396 | 67.04 | 159 |
| 1.392 | 67.24 | 168 |
| 1.206 | 79.50 | 195 |
| 1.111 | 87.86 | 165 |

```
data_HgOs2C2
_chemical_formula_sum 'Hg2 Os4 C4'
_cell_length_a 3.856
_cell_length_b 3.856
_cell_length_c 16.195
_cell_angle_alpha 90.00
_cell_angle_beta 90.00
_cell_angle_gamma 90.00
_symmetry_space_group_name_H-M 'I 4/m m m'
_symmetry_Int_Tables_number 139
_symmetry_space_group_name_Hall '-I 4 2'
loop_
_atom_site_label
_atom_site_type_symbol
_atom_site_fract_x
_atom_site_fract_y
_atom_site_fract_z
Hg1 Hg 0.000 0.000 0.000
Os1 Os 0.000 0.500 0.250
C1 C 0.000 0.000 0.290
```